Theoretical XRD peak list of CaZn2Si2HO7 for Cu Kα, 1.54184 Å, from a DFT-relaxed cell (GGA-PBE, Alexandria).

Most intense lines, 2θ from 10° to 90°, low angle first:
index  2θ/deg  d (Å)  I_rel
2 0 0  13.99  6.329  81
1 1 1  18.83  4.712  62
0 0 2  20.48  4.337  37
2 0 2  24.89  3.578  100
3 1 1  27.49  3.245  39
2 2 0  31.89  2.806  69
4 0 2  35.10  2.556  80
0 2 2  35.36  2.538  63
2 2 2  38.20  2.356  59
4 2 4  59.52  1.553  61

Atomic structure:
Cell lengths 12.659, 6.261, 8.674 Å; angles 90.00, 90.00, 90.00 degrees
Space group Ama2 (No. 40)
Symmetry-distinct sites (fractional):
1 Ca 0.250 0.250 0.000
2 Zn 0.000 0.000 0.397
3 Zn 0.000 0.000 0.897
4 Si 0.132 0.250 0.634
5 H 0.250 0.245 0.314
6 O 0.044 0.250 0.775
7 O 0.126 0.032 0.532
8 O 0.126 0.468 0.531
9 O 0.250 0.250 0.726

=====

Theoretical XRD peak list of SrHfMg for Cu Kα, 1.54184 Å, from a DFT-relaxed cell (GGA-PBE, Alexandria).

Most intense lines, 2θ from 10° to 90°, low angle first:
index  2θ/deg  d (Å)  I_rel
0 0 2  12.08  7.325  24
0 0 3  18.17  4.883  16
1 0 2  28.34  3.149  12
1 0 3  31.52  2.838  100
1 0 4  35.54  2.526  31
1 1 0  36.42  2.467  42
1 1 1  36.96  2.432  14
1 0 6  45.34  2.000  15
2 0 0  52.46  1.744  15
2 1 3  62.50  1.486  28

Atomic structure:
Cell lengths 3.488, 3.488, 14.649 Å; angles 90.00, 90.00, 90.00 degrees
Space group P4mm (No. 99)
Symmetry-distinct sites (fractional):
1 Sr 0.000 0.000 0.000
2 Sr 0.000 0.000 0.369
3 Hf 0.000 0.000 0.683
4 Hf 0.500 0.500 0.806
5 Mg 0.500 0.500 0.186
6 Mg 0.500 0.500 0.547

=====

Theoretical XRD peak list of RbAc2HgO4 for Cu Kα, 1.54184 Å, from a DFT-relaxed cell (GGA-PBE, Alexandria).

Most intense lines, 2θ from 10° to 90°, low angle first:
index  2θ/deg  d (Å)  I_rel
0 2 1  15.08  5.875  82
0 2 3  23.56  3.776  54
1 1 2  27.08  3.293  93
1 1 3  30.70  2.912  87
1 3 1  31.56  2.835  49
1 3 2  33.51  2.674  100
0 2 5  35.04  2.561  53
1 3 5  45.15  2.008  45
0 6 3  46.37  1.958  70
0 8 2  58.47  1.578  36

Atomic structure:
Cell lengths 3.903, 12.957, 13.938 Å; angles 90.00, 90.00, 90.00 degrees
Space group Cmcm (No. 63)
Symmetry-distinct sites (fractional):
1 Rb 0.000 0.082 0.250
2 Ac 0.000 0.368 0.057
3 Hg 0.000 0.190 0.750
4 O 0.000 0.000 0.000
5 O 0.000 0.250 0.579
6 O 0.000 0.422 0.250